# 1
The following is a calculated X-ray diffraction stick pattern of ZnFe4O6. It was derived from a cell relaxed with GGA+U, using CuKα.

Cell and atoms:
Cell: 5.2684 5.2684 15.4193 Å, 90.00 90.00 147.33°
Fractional positions:
Zn 0.1463 0.8537 0.7500
Zn 0.8537 0.1463 0.2500
Fe 0.1053 0.8947 0.1372
Fe 0.1053 0.8947 0.3628
Fe 0.3669 0.6331 0.0474
Fe 0.3669 0.6331 0.4526
Fe 0.6331 0.3669 0.5474
Fe 0.6331 0.3669 0.9526
Fe 0.8947 0.1053 0.6372
Fe 0.8947 0.1053 0.8628
O 0.0000 0.0000 0.0000
O 0.0000 0.0000 0.5000
O 0.2079 0.7921 0.2500
O 0.2845 0.7155 0.5820
O 0.2845 0.7155 0.9180
O 0.4705 0.5295 0.1634
O 0.4705 0.5295 0.3366
O 0.5295 0.4705 0.6634
O 0.5295 0.4705 0.8366
O 0.7155 0.2845 0.0820
O 0.7155 0.2845 0.4180
O 0.7921 0.2079 0.7500

Principal peaks in the range 10° ≤ 2θ ≤ 90°, sorted by position:
Position (°2θ)  I/Imax
33.6  29
34.1  100
35.5  28
36.1  34
42.3  62
44.4  40
57.8  24
73.3  19

# 2
The following is a calculated X-ray diffraction stick pattern of Zn3Fe2O7. It was derived from a cell relaxed with GGA+U, using CuKα.

Cell and atoms:
Cell: 9.4024 9.4024 5.2226 Å, 90.00 90.00 32.75°
Fractional positions:
Zn 0.0774 0.5310 0.4253
Zn 0.2334 0.7666 0.5000
Zn 0.4690 0.9226 0.4253
Zn 0.5310 0.0774 0.9253
Zn 0.7666 0.2334 0.0000
Zn 0.9226 0.4690 0.9253
Fe 0.1467 0.6460 0.9733
Fe 0.3540 0.8533 0.9733
Fe 0.6460 0.1467 0.4733
Fe 0.8533 0.3540 0.4733
O 0.0618 0.2046 0.1711
O 0.1409 0.8591 0.8904
O 0.1543 0.4338 0.0411
O 0.2046 0.0618 0.6711
O 0.3326 0.5077 0.2982
O 0.4338 0.1543 0.5411
O 0.4923 0.6674 0.2982
O 0.5077 0.3326 0.7982
O 0.5662 0.8457 0.0411
O 0.6674 0.4923 0.7982
O 0.7954 0.9382 0.1711
O 0.8457 0.5662 0.5411
O 0.8591 0.1409 0.3904
O 0.9382 0.7954 0.6711

Principal peaks in the range 10° ≤ 2θ ≤ 90°, sorted by position:
Position (°2θ)  I/Imax
33.8  30
34.3  28
34.6  100
49.0  25
50.6  13
61.0  26
61.7  18
62.2  11

# 3
The following is a calculated X-ray diffraction stick pattern of Zn3FeO4. It was derived from a cell relaxed with GGA+U, using CuKα.

Cell and atoms:
Cell: 3.3043 5.6585 5.6585 Å, 72.25 90.00 90.00°
Fractional positions:
Zn 0.0000 0.0000 0.0000
Zn 0.5000 0.0151 0.4990
Zn 0.5000 0.4990 0.0151
Fe 0.0000 0.5178 0.5178
O 0.0000 0.3711 0.8901
O 0.0000 0.8901 0.3711
O 0.5000 0.3835 0.3835
O 0.5000 0.8738 0.8738

Principal peaks in the range 10° ≤ 2θ ≤ 90°, sorted by position:
Position (°2θ)  I/Imax
33.3  98
33.5  100
38.3  37
39.4  17
55.1  15
56.2  56
66.0  24
66.4  23

# 4
The following is a calculated X-ray diffraction stick pattern of ZnFe5O7. It was derived from a cell relaxed with GGA+U, using CuKα.

Cell and atoms:
Cell: 5.3074 5.3074 18.3665 Å, 90.00 90.00 147.38°
Fractional positions:
Zn 0.2276 0.7724 0.7500
Zn 0.7724 0.2276 0.2500
Fe 0.0000 0.0000 0.0000
Fe 0.0000 0.0000 0.5000
Fe 0.2660 0.7340 0.0779
Fe 0.2660 0.7340 0.4221
Fe 0.4762 0.5238 0.6619
Fe 0.4762 0.5238 0.8381
Fe 0.5238 0.4762 0.1619
Fe 0.5238 0.4762 0.3381
Fe 0.7340 0.2660 0.5779
Fe 0.7340 0.2660 0.9221
O 0.0997 0.9003 0.5987
O 0.0997 0.9003 0.9013
O 0.1731 0.8269 0.1708
O 0.1731 0.8269 0.3292
O 0.3507 0.6493 0.5337
O 0.3507 0.6493 0.9663
O 0.4110 0.5890 0.2500
O 0.5890 0.4110 0.7500
O 0.6493 0.3507 0.0337
O 0.6493 0.3507 0.4663
O 0.8269 0.1731 0.6708
O 0.8269 0.1731 0.8292
O 0.9003 0.0997 0.0987
O 0.9003 0.0997 0.4013

Principal peaks in the range 10° ≤ 2θ ≤ 90°, sorted by position:
Position (°2θ)  I/Imax
32.8  19
34.2  100
34.6  38
35.2  29
41.5  44
43.0  56
60.5  18
73.0  24

# 5
The following is a calculated X-ray diffraction stick pattern of ZrFe2O4. It was derived from a cell relaxed with GGA+U, using CuKα.

Cell and atoms:
Cell: 5.5550 10.9954 5.6115 Å, 90.00 90.00 90.00°
Fractional positions:
Zr 0.0000 0.0000 0.0000
Zr 0.0000 0.5000 0.5000
Zr 0.5000 0.0000 0.5000
Zr 0.5000 0.5000 0.0000
Fe 0.0507 0.1605 0.4659
Fe 0.0507 0.3395 0.9659
Fe 0.4493 0.6605 0.4659
Fe 0.4493 0.8395 0.9659
Fe 0.5507 0.1605 0.0341
Fe 0.5507 0.3395 0.5341
Fe 0.9493 0.6605 0.0341
Fe 0.9493 0.8395 0.5341
O 0.0794 0.6797 0.3859
O 0.0794 0.8203 0.8859
O 0.1681 0.5450 0.8342
O 0.1681 0.9550 0.3342
O 0.3319 0.0450 0.8342
O 0.3319 0.4550 0.3342
O 0.4206 0.1797 0.3859
O 0.4206 0.3203 0.8859
O 0.5794 0.6797 0.1141
O 0.5794 0.8203 0.6141
O 0.6681 0.5450 0.6658
O 0.6681 0.9550 0.1658
O 0.8319 0.0450 0.6658
O 0.8319 0.4550 0.1658
O 0.9206 0.1797 0.1141
O 0.9206 0.3203 0.6141

Principal peaks in the range 10° ≤ 2θ ≤ 90°, sorted by position:
Position (°2θ)  I/Imax
16.1  12
31.9  33
32.2  32
33.4  100
46.0  23
49.8  13
57.8  26
58.2  17